AgBi4S5: simulated powder XRD pattern (CuKα), based on a crystal structure in Alexandria, relaxed with GGA-PBE.
Neutral-atom scattering factors, no anomalous dispersion.

Top 10 peaks for 2θ = 5–70°, most intense first:
| d [Å] | I_rel |
| --- | --- |
| 3.381 | 100 |
| 2.909 | 72 |
| 2.078 | 55 |
| 2.968 | 37 |
| 1.757 | 34 |
| 1.691 | 28 |
| 2.057 | 27 |
| 1.783 | 18 |
| 1.347 | 14 |
| 1.454 | 9 |

Crystal structure
```
data_AgBi4S5
_cell_length_a 7.1495
_cell_length_b 7.1495
_cell_length_c 7.1495
_cell_angle_alpha 99.93
_cell_angle_beta 99.93
_cell_angle_gamma 130.94
_symmetry_space_group_name_H-M 'P 1'
_symmetry_Int_Tables_number 1
loop_
_symmetry_equiv_pos_as_xyz
'x,y,z'
loop_
_atom_site_label
_atom_site_type_symbol
_atom_site_fract_x
_atom_site_fract_y
_atom_site_fract_z
_atom_site_occupancy
Ag1 Ag 0.0000 0.0000 0.0000 1
Bi1 Bi 0.2303 0.4292 0.6058 1
Bi2 Bi 0.4292 0.8234 0.1989 1
Bi3 Bi 0.6245 0.2303 0.8011 1
Bi4 Bi 0.8234 0.6245 0.3942 1
S1 S 0.1257 0.7229 0.7910 1
S2 S 0.3348 0.1257 0.4028 1
S3 S 0.5324 0.5324 0.0000 1
S4 S 0.7229 0.9319 0.5972 1
S5 S 0.9319 0.3348 0.2090 1
```